Record 1
Calculated powder diffraction line list of Mg2Zn3Ga8 for copper Kα, from a DFT-relaxed cell (GGA-PBE, Alexandria).
No peak broadening, texture or thermal motion is included.

Largest 6 diffraction maxima, in order of rising 2θ, 15 to 90 degrees two-theta:
- (2 0 0), 2θ 24.06, rel. 48
- (3 1 -1), 2θ 33.71, rel. 50
- (1 1 2), 2θ 36.15, rel. 45
- (0 4 0), 2θ 39.98, rel. 61
- (2 2 -3), 2θ 41.72, rel. 100
- (0 2 3), 2θ 46.02, rel. 31

a = 8.4010 Å, b = 9.0198 Å, c = 7.4709 Å
α = 90.00°, β = 118.29°, γ = 90.00°
Space group C2/m (No. 12)
Symmetry-distinct sites (fractional):
1 Mg 0.2195 0.0000 0.1753 (multiplicity 4)
2 Zn 0.0000 0.2785 0.5000 (multiplicity 4)
3 Zn 0.0000 0.5000 0.0000 (multiplicity 2)
4 Ga 0.0752 0.2502 0.8790 (multiplicity 8)
5 Ga 0.0810 0.0000 0.7057 (multiplicity 4)
6 Ga 0.1606 0.5000 0.3986 (multiplicity 4)

***

Record 2
Calculated powder diffraction line list of Ti2MnCr2 for copper Kα, from a DFT-relaxed cell (GGA-PBE, Alexandria).
No peak broadening, texture or thermal motion is included.

Largest 6 diffraction maxima, in order of rising 2θ, 15 to 90 degrees two-theta:
- (0 0 1), 2θ 21.56, rel. 15
- (2 0 1), 2θ 37.78, rel. 22
- (2 1 1), 2θ 40.94, rel. 100
- (0 0 2), 2θ 43.92, rel. 37
- (3 1 0), 2θ 49.40, rel. 32
- (3 1 2), 2θ 68.22, rel. 25

a = 5.8338 Å, b = 5.8338 Å, c = 4.1224 Å
α = 90.00°, β = 90.00°, γ = 90.00°
Space group P4/mbm (No. 127)
Symmetry-distinct sites (fractional):
1 Ti 0.1738 0.3262 0.0000 (multiplicity 4)
2 Mn 0.0000 0.0000 0.5000 (multiplicity 2)
3 Cr 0.1411 0.6411 0.5000 (multiplicity 4)

***

Record 3
Calculated powder diffraction line list of CdHg15 for copper Kα, from a DFT-relaxed cell (GGA-PBE, Alexandria).
No peak broadening, texture or thermal motion is included.

Largest 6 diffraction maxima, in order of rising 2θ, 15 to 90 degrees two-theta:
- (2 0 0), 2θ 27.88, rel. 27
- (2 0 2), 2θ 33.87, rel. 100
- (2 2 0), 2θ 49.33, rel. 23
- (4 0 2), 2θ 61.18, rel. 18
- (2 2 4), 2θ 64.06, rel. 21
- (4 2 2), 2θ 82.32, rel. 16

a = 7.3891 Å, b = 7.3891 Å, c = 9.4205 Å
α = 90.00°, β = 90.00°, γ = 120.00°
Space group P-6m2 (No. 187)
Symmetry-distinct sites (fractional):
1 Cd 0.0000 0.0000 0.0000 (multiplicity 1)
2 Hg 0.0000 0.0000 0.5000 (multiplicity 1)
3 Hg 0.0067 0.5033 0.0000 (multiplicity 3)
4 Hg 0.3254 0.1627 0.2456 (multiplicity 6)
5 Hg 0.3333 0.6667 0.2600 (multiplicity 2)
6 Hg 0.5080 0.0160 0.5000 (multiplicity 3)

***

Record 4
Calculated powder diffraction line list of Ce6GePb2N for copper Kα, from a DFT-relaxed cell (GGA-PBE, Alexandria).
No peak broadening, texture or thermal motion is included.

Largest 6 diffraction maxima, in order of rising 2θ, 15 to 90 degrees two-theta:
- (1 1 2), 2θ 29.47, rel. 100
- (2 0 0), 2θ 33.72, rel. 48
- (0 0 4), 2θ 35.04, rel. 20
- (2 2 0), 2θ 48.43, rel. 17
- (2 0 4), 2θ 49.42, rel. 30
- (3 1 2), 2θ 57.71, rel. 31

a = 5.3166 Å, b = 5.3166 Å, c = 10.2441 Å
α = 90.00°, β = 90.00°, γ = 90.00°
Space group P4/mmm (No. 123)
Symmetry-distinct sites (fractional):
1 Ce 0.0000 0.0000 0.2233 (multiplicity 2)
2 Ce 0.0000 0.5000 0.0000 (multiplicity 2)
3 Ce 0.0000 0.5000 0.5000 (multiplicity 2)
4 Ge 0.0000 0.0000 0.5000 (multiplicity 1)
5 Pb 0.5000 0.5000 0.2459 (multiplicity 2)
6 N 0.0000 0.0000 0.0000 (multiplicity 1)

***

Record 5
Calculated powder diffraction line list of AcEr2MoN4 for copper Kα, from a DFT-relaxed cell (GGA-PBE, Alexandria).
No peak broadening, texture or thermal motion is included.

Largest 6 diffraction maxima, in order of rising 2θ, 15 to 90 degrees two-theta:
- (0 2 3), 2θ 26.87, rel. 36
- (0 4 0), 2θ 29.64, rel. 24
- (0 0 4), 2θ 29.97, rel. 31
- (1 1 2), 2θ 30.66, rel. 100
- (1 3 1), 2θ 34.95, rel. 37
- (1 3 2), 2θ 37.40, rel. 41

a = 3.4762 Å, b = 12.0564 Å, c = 11.9252 Å
α = 90.00°, β = 90.00°, γ = 90.00°
Space group Cmcm (No. 63)
Symmetry-distinct sites (fractional):
1 Ac 0.0000 0.0829 0.2500 (multiplicity 4)
2 Er 0.0000 0.3706 0.0409 (multiplicity 8)
3 Mo 0.0000 0.1767 0.7500 (multiplicity 4)
4 N 0.0000 0.0000 0.0000 (multiplicity 4)
5 N 0.0000 0.2609 0.6138 (multiplicity 8)
6 N 0.0000 0.4207 0.2500 (multiplicity 4)

***

Record 6
Calculated powder diffraction line list of NaSrS2O8 for copper Kα, from a DFT-relaxed cell (GGA-PBE, Alexandria).
No peak broadening, texture or thermal motion is included.

Largest 6 diffraction maxima, in order of rising 2θ, 15 to 90 degrees two-theta:
- (1 0 0), 2θ 19.29, rel. 28
- (1 0 1), 2θ 22.59, rel. 100
- (1 0 2), 2θ 30.51, rel. 61
- (1 1 0), 2θ 33.75, rel. 53
- (1 1 1), 2θ 35.81, rel. 38
- (0 2 2), 2θ 46.13, rel. 40

a = 5.3118 Å, b = 5.3118 Å, c = 7.6030 Å
α = 90.00°, β = 90.00°, γ = 120.00°
Space group P-3m1 (No. 164)
Symmetry-distinct sites (fractional):
1 Na 0.0000 0.0000 0.0000 (multiplicity 1)
2 Sr 0.0000 0.0000 0.5000 (multiplicity 1)
3 S 0.3333 0.6667 0.2901 (multiplicity 2)
4 O 0.1810 0.3619 0.2248 (multiplicity 6)
5 O 0.3333 0.6667 0.4860 (multiplicity 2)

***

Record 7
Calculated powder diffraction line list of Ce2Cu12Si7 for copper Kα, from a DFT-relaxed cell (GGA-PBE, Alexandria).
No peak broadening, texture or thermal motion is included.

Largest 6 diffraction maxima, in order of rising 2θ, 15 to 90 degrees two-theta:
- (1 0 1), 2θ 25.12, rel. 10
- (2 1 1), 2θ 36.86, rel. 100
- (2 2 0), 2θ 37.88, rel. 12
- (4 -3 1), 2θ 46.00, rel. 11
- (0 0 2), 2θ 46.21, rel. 18
- (1 4 0), 2θ 50.86, rel. 13

a = 9.4999 Å, b = 9.4999 Å, c = 3.9293 Å
α = 90.00°, β = 90.00°, γ = 120.00°
Space group P-3 (No. 147)
Symmetry-distinct sites (fractional):
1 Ce 0.3333 0.6667 0.2504 (multiplicity 2)
2 Cu 0.0505 0.4293 0.7525 (multiplicity 6)
3 Cu 0.1225 0.2638 0.2389 (multiplicity 6)
4 Si 0.0000 0.0000 0.5000 (multiplicity 1)
5 Si 0.1128 0.7054 0.7466 (multiplicity 6)